For Na5Eu4Si4O16F, a DFT-relaxed cell (GGA-PBE, the Materials Project) gives the theoretical powder diffractogram in this record (Cu Kα).

Structural model:
abc: 11.9372 11.9372 5.5328
angles: 90.00 90.00 90.00
Space group I-4 (No. 82)
Asymmetric unit:
Na 0.0000 0.0000 0.0000 x2
Na 0.0897 0.3941 0.5084 x8
Eu 0.1148 0.8180 0.5213 x8
Si 0.1032 0.2483 0.0102 x8
O 0.0352 0.2083 0.2539 x8
O 0.0484 0.1900 0.7699 x8
O 0.1062 0.3854 0.9856 x8
O 0.2032 0.7673 0.9430 x8
F 0.0000 0.0000 0.5000 x2

The 10 most intense peaks (2θ from 10° to 80°), low angle first:
2θ = 10.48°, rel. 60, hkl 1 1 0; 2θ = 17.67°, rel. 100, hkl 1 0 1; 2θ = 23.15°, rel. 49, hkl 1 2 1; 2θ = 23.57°, rel. 51, hkl 1 3 0; 2θ = 27.61°, rel. 68, hkl 3 0 1; 2θ = 31.49°, rel. 79, hkl 3 2 1; 2θ = 32.36°, rel. 51, hkl 0 0 2; 2θ = 34.98°, rel. 67, hkl 1 4 1; 2θ = 41.18°, rel. 43, hkl 4 3 1; 2θ = 47.32°, rel. 49, hkl 4 2 2